For ZnSi2Au, a DFT-relaxed cell (PBE, Alexandria) gives the computed PXRD pattern in this record (a wavelength of 1.5418 Å).
Lines closer than 0.1° are merged.

Structure:
```
ZnSi2Au
1.0
4.0045 0.0000 0.0000
0.0000 4.1342 0.0000
0.0000 0.0000 7.6454
Zn Si Au
2 4 2
Direct
0.0000 0.0000 0.0000 Zn
0.5000 0.5000 0.0000 Zn
0.0000 0.0000 0.5093 Si
0.0000 0.5000 0.7568 Si
0.5000 0.0000 0.7568 Si
0.5000 0.5000 0.5093 Si
0.0000 0.5000 0.2567 Au
0.5000 0.0000 0.2567 Au
```

Principal peaks in the range 2θ from 15° to 90°, most intense first:
Position (°2θ), intensity
39.2, 100
33.3, 46
43.8, 18
45.3, 17
47.7, 15
47.6, 14

=====

For Zr4Pb, a DFT-relaxed cell (PBE, Alexandria) gives the computed PXRD pattern in this record (a wavelength of 1.5418 Å).
Lines closer than 0.1° are merged.

Structure:
```
Zr4Pb
1.0
-2.4841 3.0858 7.5035
2.4841 -3.0858 7.5035
2.4841 3.0858 -7.5035
Zr Pb
8 2
Direct
0.0000 0.0000 0.0000 Zr
0.2051 0.1974 0.0078 Zr
0.3104 0.8026 0.5078 Zr
0.3511 0.6011 0.7500 Zr
0.5000 0.0000 0.5000 Zr
0.6489 0.3989 0.2500 Zr
0.6896 0.1974 0.4922 Zr
0.7949 0.8026 0.9922 Zr
0.1405 0.3905 0.7500 Pb
0.8595 0.6095 0.2500 Pb
```

Principal peaks in the range 2θ from 15° to 90°, most intense first:
Position (°2θ), intensity
34.9, 100
34.7, 94
36.2, 47
37.7, 41
53.3, 30
71.3, 24

=====

For Cs2Rb6I, a DFT-relaxed cell (PBE, Alexandria) gives the computed PXRD pattern in this record (a wavelength of 1.5418 Å).
Lines closer than 0.1° are merged.

Structure:
```
Cs2Rb6I
1.0
5.1359 0.0000 0.0000
-2.5680 4.4478 0.0000
0.0000 0.0000 34.6113
Cs Rb I
2 6 1
Direct
0.0000 0.0000 0.1912 Cs
0.0000 0.0000 0.8088 Cs
0.0000 0.0000 0.4335 Rb
0.0000 0.0000 0.5665 Rb
0.6667 0.3333 0.0667 Rb
0.6667 0.3333 0.3156 Rb
0.6667 0.3333 0.6844 Rb
0.6667 0.3333 0.9333 Rb
0.6667 0.3333 0.5000 I
```

Principal peaks in the range 2θ from 15° to 90°, most intense first:
Position (°2θ), intensity
23.8, 100
34.9, 63
20.0, 43
21.4, 41
20.6, 38
40.9, 28